Calculated X-ray powder pattern of Na2PRhO4 for λ = 1.5418 Å (Cu Kα), from the GGA-PBE geometry in Alexandria.
Neutral-atom scattering factors, no anomalous dispersion.

Structure:
a b c (Å): 5.0689 5.0689 5.0689
angles (deg): 109.66 109.66 109.09
Element x y z (fractional)
Na  0.0000  0.0000  0.0000
Na  0.7500  0.2500  0.5000
P  0.5000  0.5000  0.0000
Rh  0.2500  0.7500  0.5000
O  0.2030  0.5065  0.0281
O  0.4784  0.1748  0.9719
O  0.4935  0.5216  0.6964
O  0.8252  0.7970  0.3036

Largest 10 diffraction maxima, in order of falling intensity, 2θ from 15° to 90°:
d [Å]	2θ/deg	I_rel
4.142	21.46	100
2.395	37.55	79
1.563	59.09	58
2.920	30.62	57
2.387	37.69	35
2.065	43.85	28
1.847	49.34	22
1.306	72.37	13
1.313	71.91	13
2.940	30.40	12

=====

Calculated X-ray powder pattern of K2Zr3OF12 for λ = 1.5418 Å (Cu Kα), from the GGA-PBE geometry in Alexandria.
Neutral-atom scattering factors, no anomalous dispersion.

Structure:
a b c (Å): 10.7611 10.7611 10.7611
angles (deg): 42.56 42.56 42.56
Element x y z (fractional)
K  0.0000  0.0000  0.0000
K  0.1382  0.1382  0.1382
K  0.5000  0.5000  0.5000
K  0.8618  0.8618  0.8618
Zr  0.0317  0.5777  0.5777
Zr  0.4223  0.4223  0.9683
Zr  0.4223  0.9683  0.4223
Zr  0.5777  0.0317  0.5777
Zr  0.5777  0.5777  0.0317
Zr  0.9683  0.4223  0.4223
O  0.2853  0.2853  0.2853
O  0.7147  0.7147  0.7147
F  0.0000  0.3500  0.6500
F  0.0000  0.6500  0.3500
F  0.0853  0.0853  0.5984
F  0.0853  0.5984  0.0853
F  0.0882  0.6525  0.6525
F  0.2959  0.2959  0.6317
F  0.2959  0.6317  0.2959
F  0.3475  0.3475  0.9118
F  0.3475  0.9118  0.3475
F  0.3500  0.0000  0.6500
F  0.3500  0.6500  0.0000
F  0.3683  0.7041  0.7041
F  0.4016  0.9147  0.9147
F  0.5984  0.0853  0.0853
F  0.6317  0.2959  0.2959
F  0.6500  0.0000  0.3500
F  0.6500  0.3500  0.0000
F  0.6525  0.0882  0.6525
F  0.6525  0.6525  0.0882
F  0.7041  0.3683  0.7041
F  0.7041  0.7041  0.3683
F  0.9118  0.3475  0.3475
F  0.9147  0.4016  0.9147
F  0.9147  0.9147  0.4016

Largest 10 diffraction maxima, in order of falling intensity, 2θ from 15° to 90°:
d [Å]	2θ/deg	I_rel
3.360	26.53	100
1.953	46.49	77
3.296	27.05	58
4.885	18.16	42
2.047	44.24	38
2.095	43.19	32
3.560	25.01	30
1.675	54.81	27
2.197	41.08	26
3.257	27.38	26

=====

Calculated X-ray powder pattern of Rb3TaF12 for λ = 1.5418 Å (Cu Kα), from the GGA-PBE geometry in Alexandria.
Neutral-atom scattering factors, no anomalous dispersion.

Structure:
a b c (Å): 8.6295 8.6295 7.4055
angles (deg): 99.62 99.62 121.94
Element x y z (fractional)
Rb  0.0000  0.0000  0.0000
Rb  0.0000  0.5000  0.5000
Rb  0.5000  0.0000  0.5000
Ta  0.0000  0.0000  0.5000
F  0.0636  0.2224  0.4090
F  0.0879  0.2353  0.7421
F  0.1013  0.6949  0.2244
F  0.2224  0.0636  0.4090
F  0.2353  0.0879  0.7421
F  0.3051  0.8987  0.7756
F  0.6949  0.1013  0.2244
F  0.7647  0.9121  0.2579
F  0.7776  0.9364  0.5910
F  0.8987  0.3051  0.7756
F  0.9121  0.7647  0.2579
F  0.9364  0.7776  0.5910

Largest 10 diffraction maxima, in order of falling intensity, 2θ from 15° to 90°:
d [Å]	2θ/deg	I_rel
3.484	25.57	100
2.954	30.26	70
3.773	23.58	53
2.792	32.06	47
3.583	24.85	41
4.237	20.97	41
2.557	35.10	39
1.979	45.84	35
2.972	30.07	33
2.155	41.93	32

=====

Calculated X-ray powder pattern of Ba2Ce4Sb3N2 for λ = 1.5418 Å (Cu Kα), from the GGA-PBE geometry in Alexandria.
Neutral-atom scattering factors, no anomalous dispersion.

Structure:
a b c (Å): 14.1670 14.1670 14.1670
angles (deg): 160.32 160.32 27.97
Element x y z (fractional)
Ba  0.1958  0.1958  0.0000
Ba  0.8042  0.8042  0.0000
Ce  0.0798  0.5798  0.5000
Ce  0.4202  0.9202  0.5000
Ce  0.5798  0.0798  0.5000
Ce  0.9202  0.4202  0.5000
Sb  0.3345  0.3345  0.0000
Sb  0.5000  0.5000  0.0000
Sb  0.6655  0.6655  0.0000
N  0.0902  0.0902  0.0000
N  0.9098  0.9098  0.0000

Largest 10 diffraction maxima, in order of falling intensity, 2θ from 15° to 90°:
d [Å]	2θ/deg	I_rel
2.743	32.65	100
2.421	37.14	50
3.322	26.84	37
1.452	64.13	30
3.050	29.28	26
1.712	53.52	19
3.437	25.93	15
1.979	45.85	13
1.896	47.98	13
1.664	55.20	12

=====

Calculated X-ray powder pattern of TbNpMn for λ = 1.5418 Å (Cu Kα), from the GGA-PBE geometry in Alexandria.
Neutral-atom scattering factors, no anomalous dispersion.

Structure:
a b c (Å): 6.2803 6.2803 7.4408
angles (deg): 90.00 90.00 90.00
Element x y z (fractional)
Tb  0.2311  0.2311  0.0000
Tb  0.2689  0.7311  0.2500
Tb  0.7311  0.2689  0.7500
Tb  0.7689  0.7689  0.5000
Np  0.1982  0.1982  0.5000
Np  0.3018  0.6982  0.7500
Np  0.6982  0.3018  0.2500
Np  0.8018  0.8018  0.0000
Mn  0.0609  0.9391  0.7500
Mn  0.4391  0.4391  0.5000
Mn  0.5609  0.5609  0.0000
Mn  0.9391  0.0609  0.2500

Largest 10 diffraction maxima, in order of falling intensity, 2θ from 15° to 90°:
d [Å]	2θ/deg	I_rel
2.852	31.37	100
3.140	28.42	41
1.752	52.21	22
2.220	40.63	19
2.809	31.86	17
1.824	49.99	15
1.600	57.59	12
1.860	48.97	12
1.523	60.81	10
1.426	65.46	10

=====

Calculated X-ray powder pattern of TeI2F for λ = 1.5418 Å (Cu Kα), from the GGA-PBE geometry in Alexandria.
Neutral-atom scattering factors, no anomalous dispersion.

Structure:
a b c (Å): 7.5924 7.1121 14.7781
angles (deg): 90.00 117.58 90.00
Element x y z (fractional)
Te  0.1654  0.0087  0.4102
Te  0.1654  0.4913  0.9102
Te  0.8346  0.5087  0.0898
Te  0.8346  0.9913  0.5898
I  0.1480  0.2460  0.5808
I  0.1480  0.2540  0.0808
I  0.4624  0.2364  0.4073
I  0.4624  0.2636  0.9073
I  0.5376  0.7364  0.0927
I  0.5376  0.7636  0.5927
I  0.8520  0.7460  0.9192
I  0.8520  0.7540  0.4192
F  0.1668  0.6620  0.8038
F  0.1668  0.8380  0.3038
F  0.8332  0.1620  0.6962
F  0.8332  0.3380  0.1962

Largest 10 diffraction maxima, in order of falling intensity, 2θ from 15° to 90°:
d [Å]	2θ/deg	I_rel
3.277	27.21	100
3.406	26.16	89
2.593	34.59	58
4.888	18.15	48
3.345	26.65	47
2.562	35.03	39
4.759	18.65	30
4.146	21.43	29
2.136	42.32	28
2.243	40.20	27

=====

Calculated X-ray powder pattern of TbHo5Sb5 for λ = 1.5418 Å (Cu Kα), from the GGA-PBE geometry in Alexandria.
Neutral-atom scattering factors, no anomalous dispersion.

Structure:
a b c (Å): 7.4735 7.4735 8.6491
angles (deg): 106.72 106.72 48.42
Element x y z (fractional)
Tb  0.0000  0.0000  0.0000
Ho  0.0000  0.0000  0.5000
Ho  0.3346  0.3346  0.1685
Ho  0.3349  0.3349  0.6656
Ho  0.6651  0.6651  0.3344
Ho  0.6654  0.6654  0.8315
Sb  0.1673  0.1673  0.3368
Sb  0.1692  0.1692  0.8310
Sb  0.5000  0.5000  0.0000
Sb  0.8308  0.8308  0.1690
Sb  0.8327  0.8327  0.6632

Largest 10 diffraction maxima, in order of falling intensity, 2θ from 15° to 90°:
d [Å]	2θ/deg	I_rel
3.060	29.18	100
2.163	41.76	95
3.051	29.28	49
1.767	51.74	20
1.763	51.85	20
1.249	76.20	19
2.156	41.90	19
1.370	68.51	17
1.367	68.64	17
3.530	25.23	15

=====

Calculated X-ray powder pattern of PuAg3F8 for λ = 1.5418 Å (Cu Kα), from the GGA-PBE geometry in Alexandria.
Neutral-atom scattering factors, no anomalous dispersion.

Structure:
a b c (Å): 5.6765 5.6765 5.6765
angles (deg): 90.00 90.00 90.00
Element x y z (fractional)
Pu  0.0000  0.0000  0.0000
Ag  0.0000  0.5000  0.5000
Ag  0.5000  0.0000  0.5000
Ag  0.5000  0.5000  0.0000
F  0.2274  0.2274  0.2274
F  0.2274  0.2274  0.7726
F  0.2274  0.7726  0.2274
F  0.2274  0.7726  0.7726
F  0.7726  0.2274  0.2274
F  0.7726  0.2274  0.7726
F  0.7726  0.7726  0.2274
F  0.7726  0.7726  0.7726

Largest 10 diffraction maxima, in order of falling intensity, 2θ from 15° to 90°:
d [Å]	2θ/deg	I_rel
3.277	27.21	100
2.007	45.18	58
1.712	53.54	45
2.838	31.52	27
1.302	72.59	18
1.159	83.41	17
5.677	15.61	17
1.092	89.77	14
1.269	74.80	11
4.014	22.15	11